Entry 1:
The following is a computed powder XRD pattern of Pm5Bi2H. It was derived from a DFT-relaxed cell (GGA-PBE, Alexandria), using Cu Kα (λ = 1.5418 Å).

Peak list (10 most intense, 10 to 80 degrees two-theta, by angle)
- hkl 1 0 1, 2θ 15.73, I 91
- hkl 1 1 0, 2θ 17.47, I 107
- hkl 2 0 2, 2θ 31.76, I 1000
- hkl 2 2 0, 2θ 35.36, I 378
- hkl 0 0 4, 2θ 39.66, I 168
- hkl 4 0 0, 2θ 50.87, I 136
- hkl 2 2 4, 2θ 54.17, I 232
- hkl 4 2 2, 2θ 61.23, I 311
- hkl 4 0 4, 2θ 66.36, I 130
- hkl 2 0 6, 2θ 67.04, I 119

Cell and atoms:
a = 7.1799 Å, b = 7.1799 Å, c = 9.0918 Å
α = 90.00°, β = 90.00°, γ = 90.00°
Space group I4mm (No. 107)
Unique sites:
Pm (0.0000, 0.0000, 0.0000) [2 per cell]
Pm (0.2483, 0.2483, 0.7536) [8 per cell]
Bi (0.0000, 0.5000, 0.0038) [4 per cell]
H (0.0000, 0.0000, 0.7388) [2 per cell]


Entry 2:
The following is a computed powder XRD pattern of Th2Mn17C2. It was derived from a DFT-relaxed cell (GGA-PBE, Alexandria), using Cu Kα (λ = 1.5418 Å).

Peak list (10 most intense, 10 to 80 degrees two-theta, by angle)
- hkl 2 2 -1, 2θ 29.79, I 339
- hkl 1 1 -2, 2θ 29.95, I 723
- hkl 2 0 -2, 2θ 31.29, I 374
- hkl 1 3 1, 2θ 35.69, I 473
- hkl 2 2 -2, 2θ 37.64, I 418
- hkl 0 4 0, 2θ 41.28, I 407
- hkl 2 2 2, 2θ 41.78, I 748
- hkl 3 3 0, 2θ 42.08, I 1000
- hkl 0 0 3, 2θ 42.46, I 511
- hkl 4 0 -2, 2θ 43.94, I 461

Cell and atoms:
a = 9.6346 Å, b = 8.7485 Å, c = 6.4530 Å
α = 90.00°, β = 98.50°, γ = 90.00°
Space group C2/m (No. 12)
Unique sites:
Th (0.1447, 0.0000, 0.3416) [4 per cell]
Mn (0.0000, 0.2317, 0.0000) [4 per cell]
Mn (0.0000, 0.5000, 0.5000) [2 per cell]
Mn (0.0931, 0.5000, 0.9036) [4 per cell]
Mn (0.0992, 0.2639, 0.6635) [8 per cell]
Mn (0.1429, 0.3618, 0.2810) [8 per cell]
Mn (0.1544, 0.0000, 0.8699) [4 per cell]
Mn (0.2500, 0.2500, 0.0000) [4 per cell]
C (0.2500, 0.2500, 0.5000) [4 per cell]


Entry 3:
The following is a computed powder XRD pattern of Cs2ZrGaS5. It was derived from a DFT-relaxed cell (GGA-PBE, Alexandria), using Cu Kα (λ = 1.5418 Å).

Peak list (10 most intense, 10 to 80 degrees two-theta, by angle)
- hkl 0 4 0, 2θ 16.95, I 388
- hkl 0 2 3, 2θ 20.02, I 862
- hkl 0 4 2, 2θ 20.85, I 351
- hkl 0 6 1, 2θ 26.27, I 407
- hkl 1 3 0, 2θ 26.92, I 523
- hkl 1 1 3, 2θ 30.23, I 1000
- hkl 0 2 5, 2θ 31.63, I 294
- hkl 1 5 2, 2θ 34.29, I 354
- hkl 0 8 2, 2θ 36.48, I 371
- hkl 1 9 5, 2θ 56.04, I 272

Cell and atoms:
a = 3.7678 Å, b = 20.9191 Å, c = 14.6907 Å
α = 90.00°, β = 90.00°, γ = 90.00°
Space group Cmc2_1 (No. 36)
Unique sites:
Cs (0.0000, 0.1293, 0.0000) [4 per cell]
Cs (0.0000, 0.1292, 0.3808) [4 per cell]
Zr (0.0000, 0.2097, 0.7086) [4 per cell]
Ga (0.0000, 0.4234, 0.1277) [4 per cell]
S (0.0000, 0.0727, 0.7218) [4 per cell]
S (0.0000, 0.2970, 0.3240) [4 per cell]
S (0.0000, 0.3143, 0.0845) [4 per cell]
S (0.0000, 0.3242, 0.6910) [4 per cell]
S (0.0000, 0.4864, 0.0054) [4 per cell]